Entry 1:
# SrScTe2Cl
Calculated powder X-ray diffraction pattern, Cu Kα X-rays. Input: the GGA-PBE geometry in Alexandria.
Lines closer than 0.1° are merged.

Cell and atoms:
Cell lengths 5.7388, 5.7388, 4.8775 Å; angles 90.00, 90.00, 90.00 degrees
Element x y z (fractional)
Sr 0.0000 0.0000 0.0000
Sc 0.5000 0.5000 0.5000
Te 0.0000 0.5000 0.5000
Te 0.5000 0.0000 0.5000
Cl 0.5000 0.5000 0.0000

Largest 10 diffraction maxima, by angle, 2θ from 15° to 90°:
4.878 Å, 18.19 deg, rel. 20
3.120 Å, 28.62 deg, rel. 100
2.869 Å, 31.17 deg, rel. 65
2.473 Å, 36.32 deg, rel. 14
2.439 Å, 36.86 deg, rel. 20
2.029 Å, 44.66 deg, rel. 23
1.858 Å, 49.02 deg, rel. 35
1.701 Å, 53.91 deg, rel. 33
1.560 Å, 59.24 deg, rel. 20
1.136 Å, 85.51 deg, rel. 14


Entry 2:
# PtC8N2Cl6
Calculated powder X-ray diffraction pattern, Cu Kα X-rays. Input: the GGA-PBE geometry in Alexandria.
Lines closer than 0.1° are merged.

Cell and atoms:
Cell lengths 7.6838, 7.6838, 7.6838 Å; angles 60.00, 60.00, 60.00 degrees
Element x y z (fractional)
Pt 0.0000 0.0000 0.0000
C 0.0202 0.3266 0.3266
C 0.3266 0.0202 0.3266
C 0.3266 0.3266 0.0202
C 0.3266 0.3266 0.3266
C 0.6734 0.6734 0.6734
C 0.6734 0.6734 0.9798
C 0.6734 0.9798 0.6734
C 0.9798 0.6734 0.6734
N 0.2500 0.2500 0.2500
N 0.7500 0.7500 0.7500
Cl 0.2142 0.2142 0.7858
Cl 0.2142 0.7858 0.2142
Cl 0.2142 0.7858 0.7858
Cl 0.7858 0.2142 0.2142
Cl 0.7858 0.2142 0.7858
Cl 0.7858 0.7858 0.2142

Largest 10 diffraction maxima, by angle, 2θ from 15° to 90°:
5.433 Å, 16.31 deg, rel. 73
3.842 Å, 23.15 deg, rel. 71
3.276 Å, 27.22 deg, rel. 100
2.717 Å, 32.97 deg, rel. 56
2.430 Å, 37.00 deg, rel. 62
2.091 Å, 43.26 deg, rel. 60
1.921 Å, 47.32 deg, rel. 40
1.837 Å, 49.63 deg, rel. 61
1.811 Å, 50.39 deg, rel. 32
1.522 Å, 60.88 deg, rel. 32


Entry 3:
# LiY6Se5
Calculated powder X-ray diffraction pattern, Cu Kα X-rays. Input: the GGA-PBE geometry in Alexandria.
Lines closer than 0.1° are merged.

Cell and atoms:
Cell lengths 6.8477, 6.8477, 14.3130 Å; angles 90.00, 90.00, 120.00 degrees
Element x y z (fractional)
Li 0.0000 0.0000 0.2500
Li 0.0000 0.0000 0.7500
Y 0.0000 0.3274 0.1145
Y 0.0000 0.3274 0.3855
Y 0.0000 0.6726 0.6145
Y 0.0000 0.6726 0.8855
Y 0.3274 0.0000 0.1145
Y 0.3274 0.0000 0.3855
Y 0.3274 0.3274 0.6145
Y 0.3274 0.3274 0.8855
Y 0.6726 0.0000 0.6145
Y 0.6726 0.0000 0.8855
Y 0.6726 0.6726 0.1145
Y 0.6726 0.6726 0.3855
Se 0.0000 0.3471 0.7500
Se 0.0000 0.6529 0.2500
Se 0.3333 0.6667 0.0000
Se 0.3333 0.6667 0.5000
Se 0.3471 0.0000 0.7500
Se 0.3471 0.3471 0.2500
Se 0.6529 0.0000 0.2500
Se 0.6529 0.6529 0.7500
Se 0.6667 0.3333 0.0000
Se 0.6667 0.3333 0.5000

Largest 10 diffraction maxima, by angle, 2θ from 15° to 90°:
3.089 Å, 28.91 deg, rel. 21
2.782 Å, 32.18 deg, rel. 100
2.474 Å, 36.32 deg, rel. 19
2.196 Å, 41.10 deg, rel. 24
1.977 Å, 45.91 deg, rel. 45
1.957 Å, 46.39 deg, rel. 14
1.611 Å, 57.17 deg, rel. 18
1.326 Å, 71.07 deg, rel. 20
1.249 Å, 76.23 deg, rel. 15
1.217 Å, 78.65 deg, rel. 13


Entry 4:
# Na3Np4O12
Calculated powder X-ray diffraction pattern, Cu Kα X-rays. Input: the GGA-PBE geometry in Alexandria.
Lines closer than 0.1° are merged.

Cell and atoms:
Cell lengths 7.1704, 7.1704, 7.1704 Å; angles 109.47, 109.47, 109.47 degrees
Element x y z (fractional)
Na 0.0000 0.5000 0.5000
Na 0.5000 0.0000 0.5000
Na 0.5000 0.5000 0.0000
Np 0.0000 0.0000 0.5000
Np 0.0000 0.5000 0.0000
Np 0.5000 0.0000 0.0000
Np 0.5000 0.5000 0.5000
O 0.0813 0.2928 0.7884
O 0.2116 0.5044 0.2928
O 0.2116 0.9187 0.7072
O 0.2928 0.2116 0.5044
O 0.2928 0.7884 0.0813
O 0.4956 0.7072 0.7884
O 0.5044 0.2928 0.2116
O 0.7072 0.2116 0.9187
O 0.7072 0.7884 0.4956
O 0.7884 0.0813 0.2928
O 0.7884 0.4956 0.7072
O 0.9187 0.7072 0.2116

Largest 10 diffraction maxima, by angle, 2θ from 15° to 90°:
4.140 Å, 21.46 deg, rel. 100
2.927 Å, 30.54 deg, rel. 90
2.390 Å, 37.63 deg, rel. 20
2.070 Å, 43.73 deg, rel. 25
1.851 Å, 49.22 deg, rel. 46
1.690 Å, 54.28 deg, rel. 42
1.464 Å, 63.57 deg, rel. 15
1.380 Å, 67.93 deg, rel. 21
1.309 Å, 72.16 deg, rel. 17
1.106 Å, 88.34 deg, rel. 22


Entry 5:
# Sr4Ca6Cl19
Calculated powder X-ray diffraction pattern, Cu Kα X-rays. Input: the GGA-PBE geometry in Alexandria.
Lines closer than 0.1° are merged.

Cell and atoms:
Cell lengths 10.4854, 10.4854, 10.4854 Å; angles 109.47, 109.47, 109.47 degrees
Element x y z (fractional)
Sr 0.0000 0.0000 0.7104
Sr 0.0000 0.7104 0.0000
Sr 0.2896 0.2896 0.2896
Sr 0.7104 0.0000 0.0000
Ca 0.1608 0.6607 0.5000
Ca 0.3392 0.5000 0.8392
Ca 0.5000 0.1608 0.6607
Ca 0.5000 0.8392 0.3392
Ca 0.6607 0.5000 0.1608
Ca 0.8392 0.3392 0.5000
Cl 0.0000 0.0000 0.0000
Cl 0.0000 0.3246 0.3246
Cl 0.0000 0.6754 0.6754
Cl 0.0358 0.2578 0.6529
Cl 0.2221 0.9642 0.6171
Cl 0.2578 0.6529 0.0358
Cl 0.3246 0.0000 0.3246
Cl 0.3246 0.3246 0.0000
Cl 0.3471 0.6050 0.3829
Cl 0.3829 0.3471 0.6050
Cl 0.3950 0.7422 0.7779
Cl 0.6050 0.3829 0.3471
Cl 0.6171 0.2221 0.9642
Cl 0.6529 0.0358 0.2578
Cl 0.6754 0.0000 0.6754
Cl 0.6754 0.6754 0.0000
Cl 0.7422 0.7779 0.3950
Cl 0.7779 0.3950 0.7422
Cl 0.9642 0.6171 0.2221

Largest 10 diffraction maxima, by angle, 2θ from 15° to 90°:
4.943 Å, 17.95 deg, rel. 99
3.829 Å, 23.23 deg, rel. 28
3.495 Å, 25.49 deg, rel. 44
2.854 Å, 31.35 deg, rel. 100
2.471 Å, 36.35 deg, rel. 29
2.374 Å, 37.89 deg, rel. 70
2.211 Å, 40.82 deg, rel. 52
2.018 Å, 44.92 deg, rel. 30
1.648 Å, 55.80 deg, rel. 20
1.407 Å, 66.42 deg, rel. 19


Entry 6:
# Mg8SnPt2
Calculated powder X-ray diffraction pattern, Cu Kα X-rays. Input: the GGA-PBE geometry in Alexandria.
Lines closer than 0.1° are merged.

Cell and atoms:
Cell lengths 4.4974, 6.8568, 8.2444 Å; angles 112.50, 105.63, 90.14 degrees
Element x y z (fractional)
Mg 0.0000 0.0000 0.0000
Mg 0.0527 0.4872 0.1061
Mg 0.2184 0.0346 0.4392
Mg 0.3472 0.8048 0.6958
Mg 0.4182 0.2787 0.8378
Mg 0.6332 0.2094 0.2683
Mg 0.7052 0.6834 0.4113
Mg 0.8344 0.4530 0.6668
Sn 0.5267 0.7440 0.0536
Pt 0.2053 0.4188 0.4131
Pt 0.8465 0.0694 0.6936

Largest 10 diffraction maxima, by angle, 2θ from 15° to 90°:
4.032 Å, 22.04 deg, rel. 61
3.895 Å, 22.83 deg, rel. 60
3.760 Å, 23.66 deg, rel. 100
3.426 Å, 26.01 deg, rel. 34
3.300 Å, 27.02 deg, rel. 65
2.407 Å, 37.36 deg, rel. 65
2.351 Å, 38.28 deg, rel. 24
2.248 Å, 40.10 deg, rel. 35
2.059 Å, 43.99 deg, rel. 26
2.037 Å, 44.48 deg, rel. 40


Entry 7:
# CeHo3In
Calculated powder X-ray diffraction pattern, Cu Kα X-rays. Input: the GGA-PBE geometry in Alexandria.
Lines closer than 0.1° are merged.

Cell and atoms:
Cell lengths 12.4997, 12.4997, 4.8608 Å; angles 90.00, 90.00, 157.55 degrees
Element x y z (fractional)
Ce 0.1482 0.8518 0.7500
Ce 0.8518 0.1482 0.2500
Ho 0.0487 0.9513 0.2500
Ho 0.2498 0.7502 0.2500
Ho 0.4464 0.5536 0.2500
Ho 0.5536 0.4464 0.7500
Ho 0.7502 0.2498 0.7500
Ho 0.9513 0.0487 0.7500
In 0.3469 0.6531 0.7500
In 0.6531 0.3469 0.2500

Largest 10 diffraction maxima, by angle, 2θ from 15° to 90°:
2.816 Å, 31.78 deg, rel. 100
2.452 Å, 36.65 deg, rel. 17
2.432 Å, 36.97 deg, rel. 33
1.727 Å, 53.04 deg, rel. 23
1.719 Å, 53.28 deg, rel. 12
1.476 Å, 62.95 deg, rel. 13
1.467 Å, 63.39 deg, rel. 27
1.408 Å, 66.41 deg, rel. 12
1.120 Å, 86.98 deg, rel. 11
1.116 Å, 87.37 deg, rel. 6


Entry 8:
# Rb3CeV2S8
Calculated powder X-ray diffraction pattern, Cu Kα X-rays. Input: the GGA-PBE geometry in Alexandria.
Lines closer than 0.1° are merged.

Cell and atoms:
Cell lengths 7.3173, 7.3173, 9.3240 Å; angles 90.00, 90.00, 120.00 degrees
Element x y z (fractional)
Rb 0.0000 0.0000 0.0000
Rb 0.3333 0.6667 0.6562
Rb 0.6667 0.3333 0.3438
Ce 0.0000 0.0000 0.5000
V 0.3333 0.6667 0.2378
V 0.6667 0.3333 0.7622
S 0.1712 0.3425 0.3191
S 0.1712 0.8288 0.3191
S 0.3333 0.6667 0.0147
S 0.3425 0.1712 0.6809
S 0.6575 0.8288 0.3191
S 0.6667 0.3333 0.9853
S 0.8288 0.1712 0.6809
S 0.8288 0.6575 0.6809

Largest 10 diffraction maxima, by angle, 2θ from 15° to 90°:
3.755 Å, 23.69 deg, rel. 67
3.659 Å, 24.33 deg, rel. 100
3.000 Å, 29.78 deg, rel. 17
2.621 Å, 34.22 deg, rel. 66
2.219 Å, 40.66 deg, rel. 13
2.130 Å, 42.43 deg, rel. 27
2.112 Å, 42.81 deg, rel. 21
1.878 Å, 48.48 deg, rel. 15
1.829 Å, 49.85 deg, rel. 30
1.645 Å, 55.91 deg, rel. 13


Entry 9:
# ErB2Rh5
Calculated powder X-ray diffraction pattern, Cu Kα X-rays. Input: the GGA-PBE geometry in Alexandria.
Lines closer than 0.1° are merged.

Cell and atoms:
Cell lengths 6.0406, 6.0406, 6.0406 Å; angles 142.86, 122.73, 70.26 degrees
Element x y z (fractional)
Er 0.0000 0.0000 0.0000
B 0.2885 0.7885 0.5000
B 0.7115 0.2115 0.5000
Rh 0.1224 0.3496 0.7727
Rh 0.4231 0.6504 0.7727
Rh 0.5000 0.0000 0.5000
Rh 0.5769 0.3496 0.2273
Rh 0.8776 0.6504 0.2273

Largest 10 diffraction maxima, by angle, 2θ from 15° to 90°:
2.501 Å, 35.91 deg, rel. 100
2.252 Å, 40.03 deg, rel. 66
1.924 Å, 47.24 deg, rel. 19
1.879 Å, 48.44 deg, rel. 26
1.647 Å, 55.83 deg, rel. 9
1.524 Å, 60.77 deg, rel. 11
1.344 Å, 69.99 deg, rel. 17
1.253 Å, 75.95 deg, rel. 14
1.205 Å, 79.55 deg, rel. 14
1.164 Å, 82.91 deg, rel. 8


Entry 10:
# RbPuCuO4
Calculated powder X-ray diffraction pattern, Cu Kα X-rays. Input: the GGA-PBE geometry in Alexandria.
Lines closer than 0.1° are merged.

Cell and atoms:
Cell lengths 7.2758, 7.2758, 7.2758 Å; angles 130.47, 124.03, 77.96 degrees
Element x y z (fractional)
Rb 0.4306 0.1806 0.2500
Rb 0.5694 0.8194 0.7500
Pu 0.0000 0.5000 0.5000
Pu 0.5000 0.5000 0.0000
Cu 0.0000 0.0000 0.5000
Cu 0.0000 0.5000 0.0000
O 0.1198 0.6829 0.4369
O 0.2539 0.3171 0.9369
O 0.2649 0.3075 0.5426
O 0.2649 0.7223 0.9574
O 0.7351 0.2777 0.0426
O 0.7351 0.6925 0.4574
O 0.7461 0.6829 0.0631
O 0.8802 0.3171 0.5631

Largest 10 diffraction maxima, by angle, 2θ from 15° to 90°:
5.366 Å, 16.52 deg, rel. 100
3.207 Å, 27.82 deg, rel. 52
3.048 Å, 29.30 deg, rel. 17
2.923 Å, 30.58 deg, rel. 45
2.881 Å, 31.05 deg, rel. 67
2.828 Å, 31.64 deg, rel. 22
2.110 Å, 42.87 deg, rel. 21
1.801 Å, 50.68 deg, rel. 30
1.772 Å, 51.58 deg, rel. 26
1.726 Å, 53.07 deg, rel. 19


Q: Number 5 is which compound?
A: Sr4Ca6Cl19